Record 1
Starting from a DFT-relaxed cell (GGA+U, the Materials Project), the X-ray diffraction stick pattern of RbW8O32 was computed for CuKα.
Neutral-atom scattering factors, no anomalous dispersion.

Largest 10 diffraction maxima, most intense first, 10 to 90 degrees two-theta:
Position (°2θ)  I (rel.)  h k l
22.1  1000  4 0 0
24.6  896  2 0 -3
23.0  815  0 2 0
32.1  601  4 2 0
16.7  558  2 0 -2
33.9  442  2 2 -3
28.5  332  2 2 -2
53.6  215  2 4 -3
24.7  211  0 2 1
46.9  197  0 4 0

Structure:
Unit cell a=17.5641 b=7.7501 c=10.8765 alpha=90.00 beta=113.89 gamma=90.00
Space group C2/m (No. 12)
Asymmetric unit:
Rb  0.0000  0.0000  0.0000 [2 per cell]
W  0.1228  0.2537  0.7586 [8 per cell]
W  0.1275  0.2514  0.3993 [8 per cell]
O  0.0102  0.2414  0.3155 [8 per cell]
O  0.0979  0.2450  0.9153 [8 per cell]
O  0.1054  0.5000  0.7321 [4 per cell]
O  0.1126  0.0000  0.7514 [4 per cell]
O  0.1205  0.2316  0.5782 [8 per cell]
O  0.1274  0.5000  0.4243 [4 per cell]
O  0.1337  0.0000  0.3906 [4 per cell]
O  0.1398  0.2824  0.2387 [8 per cell]
O  0.1602  0.5000  0.1478 [4 per cell]
O  0.2313  0.2616  0.8566 [8 per cell]
O  0.2500  0.2500  0.5000 [4 per cell]

Record 2
Starting from a DFT-relaxed cell (GGA+U, the Materials Project), the X-ray diffraction stick pattern of RbW6O18 was computed for CuKα.
Neutral-atom scattering factors, no anomalous dispersion.

Largest 10 diffraction maxima, most intense first, 10 to 90 degrees two-theta:
Position (°2θ)  I (rel.)  h k l
27.4  1000  2 0 2
36.1  460  2 2 2
23.0  442  0 2 0
13.6  421  1 0 1
26.8  291  1 2 1
55.3  287  2 4 2
48.4  253  4 0 0
54.3  196  4 2 0
69.8  165  4 4 0
33.2  163  2 2 0

Structure:
Unit cell a=7.5179 b=7.7302 c=13.0221 alpha=90.00 beta=90.00 gamma=90.00
Space group Pnnm (No. 58)
Asymmetric unit:
Rb  0.0000  0.0000  0.0000 [2 per cell]
W  0.0068  0.2497  0.5000 [4 per cell]
W  0.2469  0.2516  0.2466 [8 per cell]
O  0.0000  0.0000  0.5000 [2 per cell]
O  0.0000  0.5000  0.5000 [2 per cell]
O  0.0014  0.7523  0.2120 [8 per cell]
O  0.1813  0.7481  0.3948 [8 per cell]
O  0.1828  0.2524  0.3933 [8 per cell]
O  0.2499  0.0007  0.2498 [8 per cell]